[1]
Structure and theoretical X-ray powder pattern of Tb9Tm3Th2 (a PBE-relaxed structure; a wavelength of 1.5418 Å).

Principal peaks in the range 2θ = 10–80°, by intensity:
2theta  Rel. int.  h k l
30.8  100  1 0 3
51.5  48  2 4 0
35.7  45  0 2 4
61.2  43  3 -1 0
30.9  33  1 3 2
35.8  22  2 1 1
61.3  14  3 4 3
64.2  12  2 6 4
64.2  4  2 2 -4
75.8  3  4 2 2
75.7  3  0 6 -2
75.7  3  0 4 8

Structural model:
```
data_Tb9Tm3Th2
_space_group_name_H-M_alt 'P 1'
_space_group_IT_number 1
_cell_length_a 5.018
_cell_length_b 9.396
_cell_length_c 10.658
_cell_angle_alpha 67.87
_cell_angle_beta 76.42
_cell_angle_gamma 74.57
loop_
_space_group_symop_operation_xyz
'x,y,z'
loop_
_atom_site_label
_atom_site_fract_x
_atom_site_fract_y
_atom_site_fract_z
Tb1 0.000 0.000 0.000
Tb2 0.069 0.217 0.646
Tb3 0.141 0.434 0.283
Tb4 0.283 0.860 0.573
Tb5 0.427 0.288 0.857
Tb6 0.499 0.503 0.499
Tb7 0.711 0.147 0.430
Tb8 0.782 0.364 0.072
Tb9 0.927 0.790 0.357
Tm1 0.210 0.650 0.929
Tm2 0.357 0.073 0.213
Tm3 0.853 0.577 0.717
Th1 0.570 0.720 0.141
Th2 0.641 0.930 0.788
```

=====

[2]
Structure and theoretical X-ray powder pattern of Tb5TmTh2 (a PBE-relaxed structure; a wavelength of 1.5418 Å).

Principal peaks in the range 2θ = 10–80°, by intensity:
2theta  Rel. int.  h k l
30.3  100  2 1 3
32.2  51  3 1 0
60.5  24  5 2 3
42.3  15  3 1 4
52.7  10  3 1 6
59.1  10  4 0 6
67.4  10  2 1 9
40.5  9  0 0 6
47.3  9  4 1 3
61.1  9  3 3 6
46.2  7  4 2 0
28.8  7  2 2 0

Structural model:
```
data_Tb5TmTh2
_space_group_name_H-M_alt 'I 4/m c m'
_space_group_IT_number 140
_space_group_name_Hall '-I 4 2c'
_cell_length_a 8.783
_cell_length_b 8.783
_cell_length_c 13.362
_cell_angle_alpha 90.00
_cell_angle_beta 90.00
_cell_angle_gamma 90.00
loop_
_atom_site_label
_atom_site_fract_x
_atom_site_fract_y
_atom_site_fract_z
Tb1 0.000 0.000 0.000
Tb2 0.152 0.348 0.162
Tm1 0.000 0.000 0.250
Th1 0.141 0.359 0.500
```